For CePm6Dy, a crystal structure in Alexandria, relaxed with PBE gives the simulated X-ray powder pattern in this record (CuKα).
Peak positions follow from Bragg's law for the DFT cell and can differ from measured ones.

Atomic structure:
```
data_CePm6Dy
_cell_length_a 8.8752
_cell_length_b 8.1101
_cell_length_c 6.2683
_cell_angle_alpha 75.01
_cell_angle_beta 61.97
_cell_angle_gamma 43.02
_symmetry_space_group_name_H-M 'P 1'
_symmetry_Int_Tables_number 1
_symmetry_space_group_name_Hall 'P 1'
loop_
_atom_site_label
_atom_site_type_symbol
_atom_site_fract_x
_atom_site_fract_y
_atom_site_fract_z
_atom_site_occupancy
Ce1 Ce 0.0000 0.0000 0.0000 1
Pm1 Pm 0.1222 0.1222 0.3778 1
Pm2 Pm 0.2477 0.2477 0.7523 1
Pm3 Pm 0.3778 0.3778 0.1222 1
Pm4 Pm 0.6222 0.6222 0.8778 1
Pm5 Pm 0.7523 0.7523 0.2477 1
Pm6 Pm 0.8778 0.8778 0.6222 1
Dy1 Dy 0.5000 0.5000 0.5000 1
```

Largest 10 diffraction maxima, by angle, 2θ from 10° to 90°:
| 2theta | d/Å | intensity |
| --- | --- | --- |
| 30.21 | 2.958 | 100 |
| 34.99 | 2.564 | 34 |
| 35.10 | 2.557 | 17 |
| 50.38 | 1.811 | 36 |
| 59.82 | 1.546 | 29 |
| 59.97 | 1.542 | 14 |
| 62.83 | 1.479 | 12 |
| 81.88 | 1.176 | 6 |
| 82.01 | 1.175 | 12 |
| 84.51 | 1.146 | 11 |

---

For Li3W2N4, a crystal structure in Alexandria, relaxed with PBE gives the simulated X-ray powder pattern in this record (CuKα).
Peak positions follow from Bragg's law for the DFT cell and can differ from measured ones.

Atomic structure:
```
data_Li3W2N4
_cell_length_a 5.5180
_cell_length_b 5.5180
_cell_length_c 7.8035
_cell_angle_alpha 123.89
_cell_angle_beta 123.89
_cell_angle_gamma 30.86
_symmetry_space_group_name_H-M 'P 1'
_symmetry_Int_Tables_number 1
_symmetry_space_group_name_Hall 'P 1'
loop_
_atom_site_label
_atom_site_type_symbol
_atom_site_fract_x
_atom_site_fract_y
_atom_site_fract_z
_atom_site_occupancy
Li1 Li 0.0000 0.0000 0.0000 1
Li2 Li 0.3712 0.3712 0.6356 1
Li3 Li 0.6288 0.6288 0.3644 1
W1 W 0.2105 0.2105 0.8225 1
W2 W 0.7895 0.7895 0.1775 1
N1 N 0.2481 0.2481 0.3132 1
N2 N 0.4065 0.4065 0.1135 1
N3 N 0.5935 0.5935 0.8865 1
N4 N 0.7519 0.7519 0.6868 1
```

Largest 10 diffraction maxima, by angle, 2θ from 10° to 90°:
| 2theta | d/Å | intensity |
| --- | --- | --- |
| 13.91 | 6.365 | 57 |
| 16.80 | 5.277 | 100 |
| 20.47 | 4.339 | 92 |
| 28.04 | 3.183 | 21 |
| 32.66 | 2.742 | 34 |
| 35.15 | 2.553 | 24 |
| 37.61 | 2.391 | 36 |
| 38.85 | 2.318 | 35 |
| 41.23 | 2.190 | 48 |
| 43.95 | 2.060 | 30 |

---

For AgPPbO2, a crystal structure in Alexandria, relaxed with PBE gives the simulated X-ray powder pattern in this record (CuKα).
Peak positions follow from Bragg's law for the DFT cell and can differ from measured ones.

Atomic structure:
```
data_AgPPbO2
_cell_length_a 4.1348
_cell_length_b 4.1348
_cell_length_c 5.7870
_cell_angle_alpha 90.00
_cell_angle_beta 90.00
_cell_angle_gamma 90.00
_symmetry_space_group_name_H-M 'P 1'
_symmetry_Int_Tables_number 1
_symmetry_space_group_name_Hall 'P 1'
loop_
_atom_site_label
_atom_site_type_symbol
_atom_site_fract_x
_atom_site_fract_y
_atom_site_fract_z
_atom_site_occupancy
Ag1 Ag 0.0000 0.0000 0.0000 1
P1 P 0.5000 0.5000 0.0000 1
Pb1 Pb 0.5000 0.5000 0.5000 1
O1 O 0.0000 0.5000 0.5000 1
O2 O 0.5000 0.0000 0.5000 1
```

Largest 10 diffraction maxima, by angle, 2θ from 10° to 90°:
| 2theta | d/Å | intensity |
| --- | --- | --- |
| 21.49 | 4.135 | 15 |
| 26.49 | 3.364 | 100 |
| 30.58 | 2.924 | 42 |
| 30.90 | 2.893 | 31 |
| 43.79 | 2.067 | 23 |
| 44.03 | 2.057 | 32 |
| 51.91 | 1.761 | 32 |
| 52.34 | 1.748 | 16 |
| 54.55 | 1.682 | 24 |
| 70.55 | 1.335 | 13 |

---

For KPu4Pd3Se12, a crystal structure in Alexandria, relaxed with PBE gives the simulated X-ray powder pattern in this record (CuKα).
Peak positions follow from Bragg's law for the DFT cell and can differ from measured ones.

Atomic structure:
```
data_KPu4Pd3Se12
_cell_length_a 8.8926
_cell_length_b 8.8926
_cell_length_c 8.8926
_cell_angle_alpha 109.47
_cell_angle_beta 109.47
_cell_angle_gamma 109.47
_symmetry_space_group_name_H-M 'P 1'
_symmetry_Int_Tables_number 1
_symmetry_space_group_name_Hall 'P 1'
loop_
_atom_site_label
_atom_site_type_symbol
_atom_site_fract_x
_atom_site_fract_y
_atom_site_fract_z
_atom_site_occupancy
K1 K 0.0000 0.0000 0.0000 1
Pu1 Pu 0.0000 0.0000 0.5000 1
Pu2 Pu 0.0000 0.5000 0.0000 1
Pu3 Pu 0.5000 0.0000 0.0000 1
Pu4 Pu 0.5000 0.5000 0.5000 1
Pd1 Pd 0.0000 0.5000 0.5000 1
Pd2 Pd 0.5000 0.0000 0.5000 1
Pd3 Pd 0.5000 0.5000 0.0000 1
Se1 Se 0.1574 0.8375 0.3198 1
Se2 Se 0.1625 0.3198 0.4823 1
Se3 Se 0.1625 0.6802 0.8426 1
Se4 Se 0.3198 0.1574 0.8375 1
Se5 Se 0.3198 0.4823 0.1625 1
Se6 Se 0.4823 0.1625 0.3198 1
Se7 Se 0.5177 0.8375 0.6802 1
Se8 Se 0.6802 0.5177 0.8375 1
Se9 Se 0.6802 0.8426 0.1625 1
Se10 Se 0.8375 0.3198 0.1574 1
Se11 Se 0.8375 0.6802 0.5177 1
Se12 Se 0.8426 0.1625 0.6802 1
```

Largest 10 diffraction maxima, by angle, 2θ from 10° to 90°:
| 2theta | d/Å | intensity |
| --- | --- | --- |
| 17.27 | 5.134 | 35 |
| 24.52 | 3.630 | 100 |
| 27.47 | 3.247 | 30 |
| 34.95 | 2.567 | 35 |
| 39.24 | 2.296 | 36 |
| 43.16 | 2.096 | 99 |
| 50.26 | 1.815 | 16 |
| 56.70 | 1.624 | 30 |
| 68.37 | 1.372 | 27 |
| 79.15 | 1.210 | 35 |

---

For CsCu2RhF8, a crystal structure in Alexandria, relaxed with PBE gives the simulated X-ray powder pattern in this record (CuKα).
Peak positions follow from Bragg's law for the DFT cell and can differ from measured ones.

Atomic structure:
```
data_CsCu2RhF8
_cell_length_a 8.9813
_cell_length_b 8.9813
_cell_length_c 8.9813
_cell_angle_alpha 37.44
_cell_angle_beta 37.44
_cell_angle_gamma 37.44
_symmetry_space_group_name_H-M 'P 1'
_symmetry_Int_Tables_number 1
_symmetry_space_group_name_Hall 'P 1'
loop_
_atom_site_label
_atom_site_type_symbol
_atom_site_fract_x
_atom_site_fract_y
_atom_site_fract_z
_atom_site_occupancy
Cs1 Cs 0.0000 0.0000 0.0000 1
Cu1 Cu 0.2481 0.2481 0.2481 1
Cu2 Cu 0.7519 0.7519 0.7519 1
Rh1 Rh 0.5000 0.5000 0.5000 1
F1 F 0.1363 0.5935 0.6264 1
F2 F 0.3213 0.3213 0.3213 1
F3 F 0.3736 0.4065 0.8637 1
F4 F 0.4065 0.8637 0.3736 1
F5 F 0.5935 0.6264 0.1363 1
F6 F 0.6264 0.1363 0.5935 1
F7 F 0.6787 0.6787 0.6787 1
F8 F 0.8637 0.3736 0.4065 1
```

Largest 10 diffraction maxima, by angle, 2θ from 10° to 90°:
| 2theta | d/Å | intensity |
| --- | --- | --- |
| 22.79 | 3.903 | 100 |
| 31.02 | 2.883 | 39 |
| 33.81 | 2.651 | 19 |
| 38.84 | 2.319 | 10 |
| 46.54 | 1.951 | 17 |
| 50.51 | 1.807 | 22 |
| 54.29 | 1.690 | 20 |
| 56.99 | 1.616 | 9 |
| 64.67 | 1.441 | 8 |
| 69.52 | 1.352 | 8 |

---

For Sr2ScAs, a crystal structure in Alexandria, relaxed with PBE gives the simulated X-ray powder pattern in this record (CuKα).
Peak positions follow from Bragg's law for the DFT cell and can differ from measured ones.

Atomic structure:
```
data_Sr2ScAs
_cell_length_a 4.2653
_cell_length_b 6.8589
_cell_length_c 6.8589
_cell_angle_alpha 42.26
_cell_angle_beta 90.00
_cell_angle_gamma 90.00
_symmetry_space_group_name_H-M 'P 1'
_symmetry_Int_Tables_number 1
_symmetry_space_group_name_Hall 'P 1'
loop_
_atom_site_label
_atom_site_type_symbol
_atom_site_fract_x
_atom_site_fract_y
_atom_site_fract_z
_atom_site_occupancy
Sr1 Sr 0.0000 0.0000 0.0000 1
Sr2 Sr 0.5000 0.3015 0.3015 1
Sc1 Sc 0.5000 0.6056 0.6056 1
As1 As 0.0000 0.7303 0.7303 1
```

Largest 10 diffraction maxima, by angle, 2θ from 10° to 90°:
| 2theta | d/Å | intensity |
| --- | --- | --- |
| 27.62 | 3.230 | 62 |
| 27.89 | 3.199 | 17 |
| 28.50 | 3.132 | 100 |
| 34.84 | 2.575 | 42 |
| 35.06 | 2.559 | 38 |
| 36.33 | 2.473 | 31 |
| 42.38 | 2.133 | 21 |
| 51.36 | 1.779 | 46 |
| 53.44 | 1.715 | 16 |
| 57.03 | 1.615 | 17 |

---

For CaLa3Os, a crystal structure in Alexandria, relaxed with PBE gives the simulated X-ray powder pattern in this record (CuKα).
Peak positions follow from Bragg's law for the DFT cell and can differ from measured ones.

Atomic structure:
```
data_CaLa3Os
_cell_length_a 7.6855
_cell_length_b 7.6855
_cell_length_c 7.6603
_cell_angle_alpha 108.03
_cell_angle_beta 108.03
_cell_angle_gamma 111.99
_symmetry_space_group_name_H-M 'P 1'
_symmetry_Int_Tables_number 1
_symmetry_space_group_name_Hall 'P 1'
loop_
_atom_site_label
_atom_site_type_symbol
_atom_site_fract_x
_atom_site_fract_y
_atom_site_fract_z
_atom_site_occupancy
Ca1 Ca 0.0217 0.9783 0.5000 1
Ca2 Ca 0.9783 0.0217 0.0000 1
La1 La 0.1179 0.5611 0.9923 1
La2 La 0.4295 0.9750 0.9022 1
La3 La 0.5267 0.5767 0.3970 1
La4 La 0.5611 0.1179 0.4923 1
La5 La 0.5767 0.5267 0.8970 1
La6 La 0.9750 0.4295 0.4022 1
Os1 Os 0.6104 0.8801 0.1852 1
Os2 Os 0.8801 0.6104 0.6852 1
```

Largest 10 diffraction maxima, by angle, 2θ from 10° to 90°:
| 2theta | d/Å | intensity |
| --- | --- | --- |
| 14.23 | 6.222 | 100 |
| 19.69 | 4.508 | 50 |
| 28.60 | 3.121 | 49 |
| 28.79 | 3.101 | 42 |
| 31.47 | 2.843 | 36 |
| 31.60 | 2.831 | 49 |
| 32.73 | 2.736 | 39 |
| 37.49 | 2.399 | 36 |
| 37.97 | 2.370 | 30 |
| 40.00 | 2.254 | 38 |

---

For Sm3Ga2Ir2, a crystal structure in Alexandria, relaxed with PBE gives the simulated X-ray powder pattern in this record (CuKα).
Peak positions follow from Bragg's law for the DFT cell and can differ from measured ones.

Atomic structure:
```
data_Sm3Ga2Ir2
_cell_length_a 5.6614
_cell_length_b 7.9781
_cell_length_c 13.8077
_cell_angle_alpha 90.00
_cell_angle_beta 90.00
_cell_angle_gamma 90.00
_symmetry_space_group_name_H-M 'P 1'
_symmetry_Int_Tables_number 1
_symmetry_space_group_name_Hall 'P 1'
loop_
_atom_site_label
_atom_site_type_symbol
_atom_site_fract_x
_atom_site_fract_y
_atom_site_fract_z
_atom_site_occupancy
Sm1 Sm 0.1241 0.2385 0.2500 1
Sm2 Sm 0.1241 0.2615 0.7500 1
Sm3 Sm 0.3514 0.6012 0.0987 1
Sm4 Sm 0.3514 0.6012 0.4013 1
Sm5 Sm 0.3514 0.8988 0.5987 1
Sm6 Sm 0.3514 0.8988 0.9013 1
Sm7 Sm 0.6486 0.1012 0.0987 1
Sm8 Sm 0.6486 0.1012 0.4013 1
Sm9 Sm 0.6486 0.3988 0.5987 1
Sm10 Sm 0.6486 0.3988 0.9013 1
Sm11 Sm 0.8759 0.7385 0.2500 1
Sm12 Sm 0.8759 0.7615 0.7500 1
Ga1 Ga 0.1285 0.2500 0.0000 1
Ga2 Ga 0.1285 0.2500 0.5000 1
Ga3 Ga 0.3729 0.6070 0.7500 1
Ga4 Ga 0.3729 0.8930 0.2500 1
Ga5 Ga 0.6271 0.1070 0.7500 1
Ga6 Ga 0.6271 0.3930 0.2500 1
Ga7 Ga 0.8715 0.7500 0.0000 1
Ga8 Ga 0.8715 0.7500 0.5000 1
Ir1 Ir 0.1481 0.5328 0.5925 1
Ir2 Ir 0.1481 0.5328 0.9075 1
Ir3 Ir 0.1481 0.9672 0.0925 1
Ir4 Ir 0.1481 0.9672 0.4075 1
Ir5 Ir 0.8519 0.0328 0.5925 1
Ir6 Ir 0.8519 0.0328 0.9075 1
Ir7 Ir 0.8519 0.4672 0.0925 1
Ir8 Ir 0.8519 0.4672 0.4075 1
```

Largest 10 diffraction maxima, by angle, 2θ from 10° to 90°:
| 2theta | d/Å | intensity |
| --- | --- | --- |
| 25.80 | 3.453 | 26 |
| 32.38 | 2.765 | 34 |
| 33.65 | 2.664 | 65 |
| 34.23 | 2.619 | 30 |
| 34.36 | 2.610 | 48 |
| 37.36 | 2.407 | 53 |
| 37.96 | 2.371 | 28 |
| 39.02 | 2.308 | 100 |
| 39.14 | 2.301 | 36 |
| 42.38 | 2.133 | 28 |